Record 1
This entry pairs a crystal structure of NpPS with its simulated XRD peak list. Radiation: Cu Kα, 1.54184 Å. Structure: the PBE geometry in OQMD.

Crystal structure
```
6
Lattice="-1.889 1.889 7.859 1.889 -1.889 7.859 1.889 1.889 -7.859" Properties=species:S:1:pos:R:3 pbc="T T T"
Np 0.000 0.000 2.131
Np 0.000 0.000 13.587
P 1.889 0.000 0.000
P 0.000 1.889 0.000
S 0.000 0.000 4.976
S 0.000 0.000 10.741
```

Principal peaks in the range 10° ≤ 2θ ≤ 90°, by angle:
2theta	I_rel
22.63	58
24.23	100
29.14	86
33.55	64
40.85	91
47.08	47

Record 2
This entry pairs a crystal structure of Np2PSe with its simulated XRD peak list. Radiation: Cu Kα, 1.54184 Å. Structure: the PBE geometry in OQMD.

Crystal structure
```
8
Lattice="4.032 0.000 0.000 0.000 5.692 0.000 0.000 0.000 8.078" Properties=species:S:1:pos:R:3 pbc="T T T"
Np 1.008 1.423 0.921
Np 1.008 1.423 5.152
Np 3.024 4.269 2.926
Np 3.024 4.269 7.157
P 1.008 4.269 1.013
P 3.024 1.423 7.065
Se 1.008 4.269 5.040
Se 3.024 1.423 3.039
```

Principal peaks in the range 10° ≤ 2θ ≤ 90°, by angle:
2theta	I_rel
27.09	71
31.38	100
44.93	25
44.99	50
53.25	23
55.86	26

Record 3
This entry pairs a crystal structure of PuNp with its simulated XRD peak list. Radiation: Cu Kα, 1.54184 Å. Structure: the PBE geometry in OQMD.

Crystal structure
```
2
Lattice="2.826 0.000 0.000 -1.413 2.447 0.000 0.000 0.000 5.913" Properties=species:S:1:pos:R:3 pbc="T T T"
Pu 0.000 0.000 0.000
Np 0.000 1.631 2.957
```

Principal peaks in the range 10° ≤ 2θ ≤ 90°, by angle:
2theta	I_rel
30.23	46
36.73	21
39.87	100
48.28	20
60.29	31
74.42	22

Record 4
This entry pairs a crystal structure of Rb4NpS5 with its simulated XRD peak list. Radiation: Cu Kα, 1.54184 Å. Structure: the PBE geometry in OQMD.

Crystal structure
```
10
Lattice="-5.115 5.115 3.262 5.115 -5.115 3.262 5.115 5.115 -3.262" Properties=species:S:1:pos:R:3 pbc="T T T"
Rb 7.190 1.040 0.000
Rb 1.040 3.040 0.000
Rb 4.075 2.075 3.262
Rb -2.075 4.075 3.262
Np 0.000 0.000 3.088
S 0.000 0.000 0.587
S 4.363 2.723 0.007
S 2.392 -0.752 3.269
S 2.723 5.867 0.007
S 0.752 2.392 3.269
```

Principal peaks in the range 10° ≤ 2θ ≤ 90°, by angle:
2theta	I_rel
12.24	41
23.75	100
27.34	44
27.57	80
39.22	56
46.52	48